Simulated powder diffractogram of Na2CoNiF6 for CuKα, from a crystal structure in Alexandria, relaxed with PBE+U.
Intensities are scaled so that the largest is 100.

Main lines, sorted by position (2θ from 10° to 90°):
| hkl | d_spacing | 2θ (°) | I (rel.) |
| --- | --- | --- | --- |
| 1 1 -1 | 3.912 | 22.73 | 100 |
| 0 2 0 | 2.815 | 31.78 | 24 |
| 1 1 1 | 2.765 | 32.38 | 92 |
| 2 0 -2 | 2.725 | 32.87 | 18 |
| 2 2 -2 | 1.958 | 46.38 | 42 |
| 0 0 4 | 1.952 | 46.53 | 22 |
| 2 2 0 | 1.750 | 52.27 | 17 |
| 1 3 1 | 1.616 | 57.01 | 19 |
| 3 1 -1 | 1.581 | 58.38 | 33 |
| 2 2 2 | 1.382 | 67.80 | 16 |

Cell and atoms:
Unit cell a=5.449 b=5.631 c=9.513 alpha=90.00 beta=124.85 gamma=90.00
Positions (direct):
Na: 0.235 0.057 0.249
Na: 0.235 0.443 0.749
Na: 0.765 0.557 0.251
Na: 0.765 0.943 0.751
Co: 0.000 0.000 0.500
Co: 0.000 0.500 0.000
Ni: 0.500 0.000 0.000
Ni: 0.500 0.500 0.500
F: 0.143 0.198 0.946
F: 0.143 0.302 0.446
F: 0.251 0.702 0.945
F: 0.251 0.798 0.445
F: 0.358 0.039 0.752
F: 0.358 0.461 0.252
F: 0.642 0.539 0.748
F: 0.642 0.961 0.248
F: 0.749 0.202 0.555
F: 0.749 0.298 0.055
F: 0.857 0.698 0.554
F: 0.857 0.802 0.054